1.
This entry pairs a crystal structure of YErTlFe2 with its theoretical powder X-ray diffraction pattern. Radiation: Cu Kα X-rays. Structure: a cell relaxed with PBE.

a = 3.9459 Å, b = 3.7807 Å, c = 13.7988 Å
α = 90.00°, β = 90.00°, γ = 90.00°
Fractional positions:
Y  0.0000  0.0000  0.0000
Y  0.0000  0.5000  0.5000
Er  0.0000  0.0000  0.2784
Er  0.0000  0.5000  0.7784
Tl  0.5000  0.0000  0.6393
Tl  0.5000  0.5000  0.1393
Fe  0.5000  0.0000  0.4268
Fe  0.5000  0.0000  0.8465
Fe  0.5000  0.5000  0.3465
Fe  0.5000  0.5000  0.9268

Top 12 peaks for 5° ≤ 2θ ≤ 70°, sorted by position:
two_theta, I/Imax
26.01, 14
30.61, 47
33.46, 100
34.54, 74
40.47, 30
46.00, 21
46.81, 14
48.14, 19
56.27, 17
57.68, 16
60.58, 29
62.91, 16

2.
This entry pairs a crystal structure of Y2ErFe9 with its theoretical powder X-ray diffraction pattern. Radiation: Cu Kα X-rays. Structure: a cell relaxed with PBE.

a = 8.5524 Å, b = 8.5524 Å, c = 8.5524 Å
α = 34.32°, β = 34.32°, γ = 34.32°
Fractional positions:
Y  0.1417  0.1417  0.1417
Y  0.8583  0.8583  0.8583
Er  0.0000  0.0000  0.0000
Fe  0.0817  0.5805  0.5805
Fe  0.3327  0.3327  0.3327
Fe  0.4195  0.4195  0.9183
Fe  0.4195  0.9183  0.4195
Fe  0.5000  0.5000  0.5000
Fe  0.5805  0.0817  0.5805
Fe  0.5805  0.5805  0.0817
Fe  0.6673  0.6673  0.6673
Fe  0.9183  0.4195  0.4195

Top 12 peaks for 5° ≤ 2θ ≤ 70°, sorted by position:
two_theta, I/Imax
33.10, 36
35.57, 42
36.19, 30
41.49, 37
42.01, 16
42.28, 100
45.10, 17
45.57, 10
62.33, 11
64.29, 11
68.50, 22
69.47, 11

3.
This entry pairs a crystal structure of Er3Ga2 with its theoretical powder X-ray diffraction pattern. Radiation: Cu Kα X-rays. Structure: a cell relaxed with PBE.

a = 10.9595 Å, b = 10.9595 Å, c = 10.9595 Å
α = 116.78°, β = 116.78°, γ = 95.67°
Fractional positions:
Er  0.0674  0.9318  0.2700
Er  0.0682  0.3383  0.1357
Er  0.1469  0.6469  0.5000
Er  0.1617  0.4318  0.8643
Er  0.1686  0.3314  0.5000
Er  0.2026  0.9326  0.8643
Er  0.2974  0.1617  0.7300
Er  0.3314  0.8314  0.1628
Er  0.3383  0.2026  0.2700
Er  0.3531  0.8531  0.5000
Er  0.4318  0.5674  0.2700
Er  0.4326  0.7026  0.8643
Er  0.5674  0.2974  0.1357
Er  0.5682  0.4326  0.7300
Er  0.6469  0.1469  0.5000
Er  0.6617  0.7974  0.7300
Er  0.6686  0.1686  0.8372
Er  0.7026  0.8383  0.2700
Er  0.7974  0.0674  0.1357
Er  0.8314  0.6686  0.5000
Er  0.8383  0.5682  0.1357
Er  0.8531  0.3531  0.5000
Er  0.9318  0.6617  0.8643
Er  0.9326  0.0682  0.7300
Ga  0.0000  0.0000  0.0000
Ga  0.0244  0.8787  0.5000
Ga  0.1168  0.6168  0.7335
Ga  0.1213  0.6213  0.1457
Ga  0.2500  0.2500  0.0000
Ga  0.3787  0.5244  0.5000
Ga  0.3832  0.1168  0.5000
Ga  0.4756  0.9756  0.8543
Ga  0.5000  0.5000  0.0000
Ga  0.5244  0.0244  0.1457
Ga  0.6168  0.8832  0.5000
Ga  0.6213  0.4756  0.5000
Ga  0.7500  0.7500  0.0000
Ga  0.8787  0.3787  0.8543
Ga  0.8832  0.3832  0.2665
Ga  0.9756  0.1213  0.5000

Top 12 peaks for 5° ≤ 2θ ≤ 70°, sorted by position:
two_theta, I/Imax
24.20, 18
32.71, 85
32.85, 24
33.08, 32
33.53, 43
34.71, 100
34.93, 27
35.14, 20
37.11, 31
54.71, 20
56.65, 19
62.49, 21

4.
This entry pairs a crystal structure of Gd2Er3Ga3 with its theoretical powder X-ray diffraction pattern. Radiation: Cu Kα X-rays. Structure: a cell relaxed with PBE.

a = 6.5732 Å, b = 4.8008 Å, c = 6.7409 Å
α = 90.00°, β = 107.70°, γ = 90.00°
Fractional positions:
Gd  0.0000  0.0000  0.0000
Gd  0.3277  0.5000  0.7900
Er  0.0211  0.0000  0.5103
Er  0.5132  0.0000  0.4903
Er  0.7212  0.5000  0.2245
Ga  0.2082  0.5000  0.3088
Ga  0.5136  0.0000  0.0111
Ga  0.8252  0.5000  0.6951

Top 12 peaks for 5° ≤ 2θ ≤ 70°, sorted by position:
two_theta, I/Imax
24.87, 19
33.35, 43
33.46, 16
33.58, 100
34.19, 87
37.47, 42
46.25, 16
51.02, 27
59.35, 13
60.97, 14
65.14, 18
65.51, 14

5.
This entry pairs a crystal structure of GdErGa3Si2 with its theoretical powder X-ray diffraction pattern. Radiation: Cu Kα X-rays. Structure: a cell relaxed with PBE.

a = 10.2738 Å, b = 4.0619 Å, c = 6.6023 Å
α = 90.00°, β = 101.22°, γ = 90.00°
Fractional positions:
Gd  0.0000  0.0000  0.0000
Gd  0.5000  0.5000  0.0000
Er  0.2380  0.0000  0.6317
Er  0.7380  0.5000  0.6317
Ga  0.1210  0.5000  0.3176
Ga  0.3151  0.0000  0.1773
Ga  0.4227  0.5000  0.4570
Ga  0.6210  0.0000  0.3176
Ga  0.8151  0.5000  0.1773
Ga  0.9227  0.0000  0.4570
Si  0.0253  0.5000  0.6803
Si  0.2124  0.5000  0.9466
Si  0.5253  0.0000  0.6803
Si  0.7124  0.0000  0.9466

Top 12 peaks for 5° ≤ 2θ ≤ 70°, sorted by position:
two_theta, I/Imax
23.62, 22
24.40, 17
28.26, 27
34.65, 49
35.21, 100
35.36, 19
35.64, 31
35.76, 18
39.38, 39
40.88, 21
44.62, 29
58.39, 23

6.
This entry pairs a crystal structure of Gd2ErTmGa2 with its theoretical powder X-ray diffraction pattern. Radiation: Cu Kα X-rays. Structure: a cell relaxed with PBE.

a = 5.1604 Å, b = 5.1604 Å, c = 6.5955 Å
α = 90.00°, β = 90.00°, γ = 120.00°
Fractional positions:
Gd  0.0000  0.0000  0.2493
Gd  0.0000  0.0000  0.7507
Er  0.3333  0.6667  0.5000
Tm  0.6667  0.3333  0.0000
Ga  0.3333  0.6667  0.0000
Ga  0.6667  0.3333  0.5000

Top 12 peaks for 5° ≤ 2θ ≤ 70°, sorted by position:
two_theta, I/Imax
24.05, 20
33.78, 100
34.77, 96
42.73, 5
44.59, 4
46.01, 4
49.26, 35
55.75, 8
56.22, 4
61.70, 35
62.33, 18
67.40, 28

7.
This entry pairs a crystal structure of Er3Ga3Ni2Ge with its theoretical powder X-ray diffraction pattern. Radiation: Cu Kα X-rays. Structure: a cell relaxed with PBE.

a = 7.2064 Å, b = 7.2064 Å, c = 3.7256 Å
α = 90.00°, β = 90.00°, γ = 120.00°
Fractional positions:
Er  0.0000  0.6007  0.0000
Er  0.3993  0.3993  0.0000
Er  0.6007  0.0000  0.0000
Ga  0.0000  0.2782  0.5000
Ga  0.2782  0.0000  0.5000
Ga  0.7218  0.7218  0.5000
Ni  0.3333  0.6667  0.5000
Ni  0.6667  0.3333  0.5000
Ge  0.0000  0.0000  0.0000

Top 12 peaks for 5° ≤ 2θ ≤ 70°, sorted by position:
two_theta, I/Imax
24.71, 17
28.61, 12
34.63, 100
37.60, 58
38.15, 28
43.50, 34
45.51, 11
48.89, 17
52.90, 16
58.83, 17
63.65, 12
67.49, 18

8.
This entry pairs a crystal structure of Er3Mg3GaHg2 with its theoretical powder X-ray diffraction pattern. Radiation: Cu Kα X-rays. Structure: a cell relaxed with PBE.

a = 7.7169 Å, b = 7.7169 Å, c = 4.1169 Å
α = 90.00°, β = 90.00°, γ = 120.00°
Fractional positions:
Er  0.0000  0.5930  0.0000
Er  0.4070  0.4070  0.0000
Er  0.5930  0.0000  0.0000
Mg  0.0000  0.2444  0.5000
Mg  0.2444  0.0000  0.5000
Mg  0.7556  0.7556  0.5000
Ga  0.0000  0.0000  0.0000
Hg  0.3333  0.6667  0.5000
Hg  0.6667  0.3333  0.5000

Top 12 peaks for 5° ≤ 2θ ≤ 70°, sorted by position:
two_theta, I/Imax
13.25, 39
23.05, 37
31.79, 100
34.57, 69
35.54, 21
40.49, 33
41.96, 22
43.99, 18
49.15, 18
54.28, 15
61.32, 19
64.90, 20